For Ca3WCl2O5, a cell relaxed with PBE+U gives the computed powder XRD pattern in this record (a wavelength of 1.5418 Å).
No peak broadening, texture or thermal motion is included.

Structure:
Lattice parameters (Å, degrees): 11.9612 5.6845 11.2910 90.00 90.00 90.00
Fractional positions:
1 Ca 0.1388 0.2500 0.1664
2 Ca 0.1592 0.7500 0.4214
3 Ca 0.1690 0.2500 0.6706
4 Ca 0.3310 0.7500 0.1706
5 Ca 0.3408 0.2500 0.9214
6 Ca 0.3612 0.7500 0.6664
7 Ca 0.6388 0.2500 0.3336
8 Ca 0.6592 0.7500 0.0786
9 Ca 0.6690 0.2500 0.8294
10 Ca 0.8310 0.7500 0.3294
11 Ca 0.8408 0.2500 0.5786
12 Ca 0.8612 0.7500 0.8336
13 W 0.1921 0.7500 0.9156
14 W 0.3079 0.2500 0.4156
15 W 0.6921 0.7500 0.5844
16 W 0.8079 0.2500 0.0844
17 Cl 0.0285 0.2500 0.4208
18 Cl 0.0323 0.7500 0.2182
19 Cl 0.4677 0.2500 0.7182
20 Cl 0.4715 0.7500 0.9208
21 Cl 0.5285 0.2500 0.0792
22 Cl 0.5323 0.7500 0.2818
23 Cl 0.9677 0.2500 0.7818
24 Cl 0.9715 0.7500 0.5792
25 O 0.0439 0.7500 0.9083
26 O 0.2345 0.5165 0.0337
27 O 0.2345 0.9835 0.0337
28 O 0.2420 0.5216 0.8007
29 O 0.2420 0.9784 0.8007
30 O 0.2580 0.0216 0.3007
31 O 0.2580 0.4784 0.3007
32 O 0.2655 0.0165 0.5337
33 O 0.2655 0.4835 0.5337
34 O 0.4561 0.2500 0.4083
35 O 0.5439 0.7500 0.5917
36 O 0.7345 0.5165 0.4663
37 O 0.7345 0.9835 0.4663
38 O 0.7420 0.5216 0.6993
39 O 0.7420 0.9784 0.6993
40 O 0.7580 0.0216 0.1993
41 O 0.7580 0.4784 0.1993
42 O 0.7655 0.0165 0.9663
43 O 0.7655 0.4835 0.9663
44 O 0.9561 0.2500 0.0917

Most intense lines, 10 to 80 degrees two-theta, in order of rising 2θ:
2θ (°)	I/Imax	h k l
14.81	58.1	2 0 0
17.39	58.9	1 0 2
18.99	78.8	1 1 1
21.60	22.4	2 1 0
26.79	22.0	2 1 2
28.44	48.7	0 1 3
31.48	36.6	0 2 0
31.66	100.0	3 1 2
32.59	23.1	1 0 4
45.94	41.8	1 2 4